Record 1
This entry pairs a crystal structure of LiMnRhO4 with its calculated powder XRD pattern. Radiation: Cu Kα X-rays. Structure: a crystal structure in Alexandria, relaxed with PBE+U.
Kinematic intensities with the Lorentz-polarization factor, no thermal factor.

Structure:
```
data_LiMnRhO4
_chemical_formula_sum 'Li4 Mn4 Rh4 O16'
_cell_length_a 5.904
_cell_length_b 6.148
_cell_length_c 8.381
_cell_angle_alpha 90.00
_cell_angle_beta 90.00
_cell_angle_gamma 90.00
_space_group_name_H-M_alt 'I m m a'
_space_group_IT_number 74
_space_group_name_Hall '-I 2b 2'
loop_
_atom_site_label
_atom_site_type_symbol
_atom_site_fract_x
_atom_site_fract_y
_atom_site_fract_z
Li1 Li 0.000 0.250 0.124
Mn1 Mn 0.250 0.250 0.750
Rh1 Rh 0.000 0.000 0.500
O1 O 0.000 0.036 0.745
O2 O 0.230 0.250 0.518
```

Principal peaks in the range 10 to 90 degrees two-theta, by angle:
- 2θ 17.89, rel. 40
- 2θ 18.38, rel. 100
- 2θ 34.60, rel. 39
- 2θ 35.36, rel. 15
- 2θ 35.55, rel. 20
- 2θ 36.24, rel. 15
- 2θ 42.45, rel. 45
- 2θ 43.18, rel. 21
- 2θ 46.54, rel. 14
- 2θ 62.16, rel. 27

***

Record 2
This entry pairs a crystal structure of LiMn2S2O10 with its calculated powder XRD pattern. Radiation: Cu Kα X-rays. Structure: a crystal structure in Alexandria, relaxed with PBE+U.
Kinematic intensities with the Lorentz-polarization factor, no thermal factor.

Structure:
```
data_LiMn2S2O10
_chemical_formula_sum 'Li1 Mn2 S2 O10'
_cell_length_a 5.316
_cell_length_b 5.449
_cell_length_c 6.907
_cell_angle_alpha 106.44
_cell_angle_beta 106.19
_cell_angle_gamma 97.11
_space_group_name_H-M_alt 'P 1'
_space_group_IT_number 1
_space_group_name_Hall 'P 1'
loop_
_atom_site_label
_atom_site_type_symbol
_atom_site_fract_x
_atom_site_fract_y
_atom_site_fract_z
Li1 Li 0.000 0.000 0.000
Mn1 Mn 0.729 0.368 0.746
Mn2 Mn 0.737 0.380 0.254
S1 S 0.067 0.018 0.502
S2 S 0.402 0.727 0.000
O1 O 0.008 0.157 0.339
O2 O 0.035 0.737 0.387
O3 O 0.125 0.641 0.843
O4 O 0.342 0.127 0.652
O5 O 0.426 0.006 0.125
O6 O 0.435 0.560 0.138
O7 O 0.612 0.713 0.892
O8 O 0.645 0.449 0.499
O9 O 0.820 0.299 0.002
O10 O 0.874 0.050 0.625
```

Principal peaks in the range 10 to 90 degrees two-theta, by angle:
- 2θ 17.81, rel. 44
- 2θ 18.43, rel. 31
- 2θ 18.76, rel. 36
- 2θ 22.04, rel. 28
- 2θ 26.29, rel. 73
- 2θ 27.66, rel. 100
- 2θ 28.07, rel. 71
- 2θ 28.26, rel. 51
- 2θ 35.87, rel. 30
- 2θ 36.47, rel. 29

***

Record 3
This entry pairs a crystal structure of Li2Mn2S3O12 with its calculated powder XRD pattern. Radiation: Cu Kα X-rays. Structure: a crystal structure in Alexandria, relaxed with PBE+U.
Kinematic intensities with the Lorentz-polarization factor, no thermal factor.

Structure:
```
data_Li2Mn2S3O12
_chemical_formula_sum 'Li8 Mn8 S12 O48'
_cell_length_a 13.451
_cell_length_b 8.906
_cell_length_c 8.901
_cell_angle_alpha 90.00
_cell_angle_beta 116.40
_cell_angle_gamma 90.00
_space_group_name_H-M_alt 'C 1 2/c 1'
_space_group_IT_number 15
_space_group_name_Hall '-C 2yc'
loop_
_atom_site_label
_atom_site_type_symbol
_atom_site_fract_x
_atom_site_fract_y
_atom_site_fract_z
Li1 Li 0.225 0.101 0.046
Mn1 Mn 0.117 0.251 0.516
S1 S 0.000 0.063 0.750
S2 S 0.150 0.396 0.183
O1 O 0.030 0.375 0.121
O2 O 0.059 0.158 0.681
O3 O 0.085 0.033 0.385
O4 O 0.181 0.442 0.696
O5 O 0.192 0.316 0.076
O6 O 0.207 0.336 0.362
```

Principal peaks in the range 10 to 90 degrees two-theta, by angle:
- 2θ 14.27, rel. 53
- 2θ 22.88, rel. 100
- 2θ 24.31, rel. 67
- 2θ 25.51, rel. 83
- 2θ 30.09, rel. 63
- 2θ 30.73, rel. 54
- 2θ 32.66, rel. 41
- 2θ 36.32, rel. 29
- 2θ 46.69, rel. 29
- 2θ 49.74, rel. 27

***

Record 4
This entry pairs a crystal structure of Sr2Li4MnS3O2 with its calculated powder XRD pattern. Radiation: Cu Kα X-rays. Structure: a crystal structure in Alexandria, relaxed with PBE+U.
Kinematic intensities with the Lorentz-polarization factor, no thermal factor.

Structure:
```
data_Sr2Li4MnS3O2
_chemical_formula_sum 'Sr2 Li4 Mn1 S3 O2'
_cell_length_a 4.126
_cell_length_b 4.126
_cell_length_c 11.869
_cell_angle_alpha 90.00
_cell_angle_beta 90.00
_cell_angle_gamma 90.00
_space_group_name_H-M_alt 'P 4/m m m'
_space_group_IT_number 123
_space_group_name_Hall '-P 4 2'
loop_
_atom_site_label
_atom_site_type_symbol
_atom_site_fract_x
_atom_site_fract_y
_atom_site_fract_z
Sr1 Sr 0.000 0.000 0.138
Li1 Li 0.000 0.500 0.382
Mn1 Mn 0.500 0.500 0.000
S1 S 0.000 0.000 0.500
S2 S 0.500 0.500 0.264
O1 O 0.000 0.500 0.000
```

Principal peaks in the range 10 to 90 degrees two-theta, by angle:
- 2θ 21.53, rel. 13
- 2θ 30.64, rel. 62
- 2θ 31.32, rel. 100
- 2θ 31.58, rel. 19
- 2θ 37.33, rel. 59
- 2θ 38.33, rel. 21
- 2θ 43.88, rel. 42
- 2θ 54.90, rel. 38
- 2θ 58.94, rel. 30
- 2θ 63.83, rel. 19

***

Record 5
This entry pairs a crystal structure of Li2Mn2SbO6 with its calculated powder XRD pattern. Radiation: Cu Kα X-rays. Structure: a crystal structure in Alexandria, relaxed with PBE+U.
Kinematic intensities with the Lorentz-polarization factor, no thermal factor.

Structure:
```
data_Li2Mn2SbO6
_chemical_formula_sum 'Li8 Mn8 Sb4 O24'
_cell_length_a 5.547
_cell_length_b 9.157
_cell_length_c 10.296
_cell_angle_alpha 90.00
_cell_angle_beta 90.00
_cell_angle_gamma 90.00
_space_group_name_H-M_alt 'C 2 2 21'
_space_group_IT_number 20
_space_group_name_Hall 'C 2c 2'
loop_
_atom_site_label
_atom_site_type_symbol
_atom_site_fract_x
_atom_site_fract_y
_atom_site_fract_z
Li1 Li 0.146 0.000 0.000
Li2 Li 0.150 0.500 0.000
Mn1 Mn 0.000 0.099 0.750
Mn2 Mn 0.000 0.429 0.750
Sb1 Sb 0.000 0.234 0.250
O1 O 0.124 0.411 0.359
O2 O 0.132 0.077 0.367
O3 O 0.181 0.276 0.657
```

Principal peaks in the range 10 to 90 degrees two-theta, by angle:
- 2θ 17.23, rel. 100
- 2θ 20.61, rel. 20
- 2θ 32.26, rel. 18
- 2θ 34.66, rel. 36
- 2θ 36.81, rel. 24
- 2θ 37.92, rel. 9
- 2θ 42.87, rel. 37
- 2θ 48.23, rel. 14
- 2θ 56.39, rel. 19
- 2θ 59.10, rel. 17

***

Record 6
This entry pairs a crystal structure of Li4Mn3SbO8 with its calculated powder XRD pattern. Radiation: Cu Kα X-rays. Structure: a crystal structure in Alexandria, relaxed with PBE+U.
Kinematic intensities with the Lorentz-polarization factor, no thermal factor.

Structure:
```
data_Li4Mn3SbO8
_chemical_formula_sum 'Li4 Mn3 Sb1 O8'
_cell_length_a 6.079
_cell_length_b 6.092
_cell_length_c 6.168
_cell_angle_alpha 61.20
_cell_angle_beta 60.95
_cell_angle_gamma 62.25
_space_group_name_H-M_alt 'P 1'
_space_group_IT_number 1
_space_group_name_Hall 'P 1'
loop_
_atom_site_label
_atom_site_type_symbol
_atom_site_fract_x
_atom_site_fract_y
_atom_site_fract_z
Li1 Li 0.000 0.000 0.000
Li2 Li 0.011 0.461 0.541
Li3 Li 0.490 0.993 0.502
Li4 Li 0.513 0.460 0.041
Mn1 Mn 0.011 0.945 0.539
Mn2 Mn 0.019 0.451 0.050
Mn3 Mn 0.514 0.945 0.039
Sb1 Sb 0.517 0.451 0.547
O1 O 0.245 0.214 0.266
O2 O 0.277 0.670 0.793
O3 O 0.287 0.670 0.321
O4 O 0.290 0.205 0.766
O5 O 0.743 0.694 0.324
O6 O 0.751 0.221 0.771
O7 O 0.756 0.230 0.297
O8 O 0.800 0.669 0.833
```

Principal peaks in the range 10 to 90 degrees two-theta, by angle:
- 2θ 17.45, rel. 21
- 2θ 17.98, rel. 100
- 2θ 33.42, rel. 16
- 2θ 33.56, rel. 19
- 2θ 34.07, rel. 17
- 2θ 35.28, rel. 14
- 2θ 40.94, rel. 25
- 2θ 41.05, rel. 27
- 2θ 42.04, rel. 25
- 2θ 54.70, rel. 10

***

Record 7
This entry pairs a crystal structure of Li4Mn5Sb3O16 with its calculated powder XRD pattern. Radiation: Cu Kα X-rays. Structure: a crystal structure in Alexandria, relaxed with PBE+U.
Kinematic intensities with the Lorentz-polarization factor, no thermal factor.

Structure:
```
data_Li4Mn5Sb3O16
_chemical_formula_sum 'Li8 Mn10 Sb6 O32'
_cell_length_a 10.777
_cell_length_b 6.122
_cell_length_c 9.987
_cell_angle_alpha 90.00
_cell_angle_beta 90.48
_cell_angle_gamma 90.00
_space_group_name_H-M_alt 'C 1 m 1'
_space_group_IT_number 8
_space_group_name_Hall 'C -2y'
loop_
_atom_site_label
_atom_site_type_symbol
_atom_site_fract_x
_atom_site_fract_y
_atom_site_fract_z
Li1 Li 0.000 0.000 0.000
Li2 Li 0.013 0.000 0.513
Li3 Li 0.178 0.500 0.108
Li4 Li 0.336 0.000 0.638
Mn1 Mn 0.081 0.253 0.792
Mn2 Mn 0.156 0.500 0.522
Mn3 Mn 0.172 0.000 0.290
Mn4 Mn 0.323 0.000 0.994
Sb1 Sb 0.327 0.500 0.790
Sb2 Sb 0.419 0.247 0.290
O1 O 0.019 0.500 0.687
O2 O 0.077 0.235 0.398
O3 O 0.148 0.000 0.894
O4 O 0.176 0.500 0.908
O5 O 0.239 0.274 0.675
O6 O 0.267 0.228 0.179
O7 O 0.350 0.500 0.402
O8 O 0.351 0.000 0.407
O9 O 0.416 0.267 0.901
O10 O 0.486 0.500 0.688
O11 O 0.492 0.000 0.177
O12 O 0.492 0.500 0.183
```

Principal peaks in the range 10 to 90 degrees two-theta, by angle:
- 2θ 17.76, rel. 100
- 2θ 18.65, rel. 29
- 2θ 18.84, rel. 39
- 2θ 18.92, rel. 19
- 2θ 24.40, rel. 21
- 2θ 34.38, rel. 28
- 2θ 34.89, rel. 50
- 2θ 43.42, rel. 32
- 2θ 43.63, rel. 18
- 2θ 59.69, rel. 23

***

Record 8
This entry pairs a crystal structure of Li6Mn5SbO12 with its calculated powder XRD pattern. Radiation: Cu Kα X-rays. Structure: a crystal structure in Alexandria, relaxed with PBE+U.
Kinematic intensities with the Lorentz-polarization factor, no thermal factor.

Structure:
```
data_Li6Mn5SbO12
_chemical_formula_sum 'Li12 Mn10 Sb2 O24'
_cell_length_a 5.544
_cell_length_b 9.086
_cell_length_c 10.551
_cell_angle_alpha 90.00
_cell_angle_beta 99.32
_cell_angle_gamma 90.00
_space_group_name_H-M_alt 'C 1 2 1'
_space_group_IT_number 5
_space_group_name_Hall 'C 2y'
loop_
_atom_site_label
_atom_site_type_symbol
_atom_site_fract_x
_atom_site_fract_y
_atom_site_fract_z
Li1 Li 0.241 0.000 0.284
Li2 Li 0.245 0.327 0.285
Li3 Li 0.247 0.664 0.288
Mn1 Mn 0.000 0.163 0.000
Mn2 Mn 0.000 0.330 0.500
Mn3 Mn 0.000 0.664 0.500
Mn4 Mn 0.000 0.828 0.000
Mn5 Mn 0.000 0.996 0.500
Sb1 Sb 0.000 0.498 0.000
O1 O 0.093 0.497 0.391
O2 O 0.099 0.818 0.384
O3 O 0.101 0.176 0.385
O4 O 0.170 0.328 0.101
O5 O 0.188 0.649 0.110
O6 O 0.210 0.007 0.100
```

Principal peaks in the range 10 to 90 degrees two-theta, by angle:
- 2θ 17.03, rel. 100
- 2θ 32.74, rel. 12
- 2θ 34.26, rel. 14
- 2θ 34.47, rel. 20
- 2θ 35.61, rel. 23
- 2θ 39.63, rel. 13
- 2θ 41.21, rel. 22
- 2θ 44.62, rel. 19
- 2θ 53.82, rel. 12
- 2θ 58.50, rel. 23